# U8VSe17
Theoretical XRD peak list, Cu Kα, 1.54184 Å. Input: a crystal structure in Alexandria, relaxed with GGA-PBE.
Lines closer than 0.1° are merged.

Structural model:
```
data_U8VSe17
_cell_length_a 13.879
_cell_length_b 8.771
_cell_length_c 10.839
_cell_angle_alpha 90.00
_cell_angle_beta 101.30
_cell_angle_gamma 90.00
_symmetry_space_group_name_H-M 'C 1 2/m 1'
_symmetry_Int_Tables_number 12
_symmetry_space_group_name_Hall '-C 2y'
loop_
_atom_site_label
_atom_site_type_symbol
_atom_site_fract_x
_atom_site_fract_y
_atom_site_fract_z
_atom_site_occupancy
U1 U 0.061 0.241 0.202 1
U2 U 0.180 0.500 0.514 1
U3 U 0.203 0.000 0.959 1
V1 V 0.000 0.000 0.500 1
Se1 Se 0.000 0.000 0.000 1
Se2 Se 0.021 0.500 0.669 1
Se3 Se 0.060 0.000 0.729 1
Se4 Se 0.127 0.307 0.963 1
Se5 Se 0.134 0.190 0.473 1
Se6 Se 0.199 0.500 0.254 1
Se7 Se 0.214 0.000 0.225 1
```

Main lines, in order of rising 2θ (15° ≤ 2θ ≤ 90°):
hkl  2θ/deg  d (Å)  I (rel.)
2 2 0  24.1  3.686  98.3
2 2 -1  24.7  3.603  73.3
0 0 4  33.7  2.658  100.0
4 0 2  33.9  2.641  65.0
3 3 -1  36.6  2.454  76.4
4 2 -3  38.8  2.323  87.2
0 4 0  41.2  2.193  63.7
2 2 4  44.1  2.055  64.1